# La5NdDy
Theoretical XRD peak list, Cu Kα (λ = 1.5418 Å). Input: DFT lattice parameters and positions (PBE).

Principal peaks in the range 2θ = 15–90°, low angle first:
hkl 0 2 0, 2θ = 26.16°, rel. 30.0; hkl 3 1 -3, 2θ = 27.75°, rel. 62.8; hkl 2 2 0, 2θ = 29.34°, rel. 55.9; hkl 2 0 2, 2θ = 30.03°, rel. 100.0; hkl 2 2 -2, 2θ = 30.93°, rel. 57.6; hkl 5 1 -1, 2θ = 31.05°, rel. 92.8; hkl 5 1 -3, 2θ = 31.51°, rel. 58.5; hkl 4 0 -4, 2θ = 32.75°, rel. 29.5; hkl 0 2 2, 2θ = 33.23°, rel. 75.2; hkl 4 2 0, 2θ = 37.39°, rel. 28.8; hkl 5 3 -1, 2θ = 49.28°, rel. 31.6; hkl 10 2 -4, 2θ = 61.35°, rel. 24.9

Atomic structure:
```
data_La5NdDy
_space_group_name_H-M_alt 'C 1 2/c 1'
_space_group_IT_number 15
_space_group_name_Hall '-C 2yc'
_cell_length_a 16.868
_cell_length_b 6.813
_cell_length_c 10.966
_cell_angle_alpha 90.00
_cell_angle_beta 126.47
_cell_angle_gamma 90.00
loop_
_atom_site_label
_atom_site_type_symbol
_atom_site_fract_x
_atom_site_fract_y
_atom_site_fract_z
_atom_site_occupancy
La1 La 0.000 0.015 0.250 1
La2 La 0.090 0.253 0.593 1
La3 La 0.175 0.252 0.091 1
Nd1 Nd 0.000 0.486 0.250 1
Dy1 Dy 0.250 0.250 0.500 1
```